1.
The following is a theoretical X-ray powder pattern of NdSmTm5Th2. It was derived from a PBE-relaxed structure, using Cu Kα (weighted mean of Kα1 and Kα2).
Intensities are scaled so that the largest is 100.

Structure:
Cell: 9.7911 9.7911 9.7911 Å, 126.21 126.21 79.54°
Sites, in units of the cell vectors:
1 Nd 0.2500 0.2500 0.0000
2 Nd 0.7500 0.7500 0.0000
3 Sm 0.2500 0.7500 0.5000
4 Sm 0.7500 0.2500 0.5000
5 Tm 0.0000 0.0000 0.0000
6 Tm 0.0696 0.5696 0.9136
7 Tm 0.1561 0.0696 0.5000
8 Tm 0.3439 0.8439 0.9136
9 Tm 0.4304 0.3439 0.5000
10 Tm 0.5000 0.5000 0.0000
11 Tm 0.5696 0.6561 0.5000
12 Tm 0.6561 0.1561 0.0864
13 Tm 0.8439 0.9304 0.5000
14 Tm 0.9304 0.4304 0.0864
15 Th 0.1183 0.3817 0.5000
16 Th 0.3817 0.8817 0.2634
17 Th 0.6183 0.1183 0.7366
18 Th 0.8817 0.6183 0.5000

The 12 most intense peaks (2θ = 10–90°), low angle first:
2theta	d/Å	Rel. int.
28.50	3.132	53
28.71	3.109	77
31.19	2.868	100
31.95	2.801	21
34.15	2.625	18
37.08	2.425	30
37.53	2.397	21
42.53	2.126	29
48.38	1.881	14
52.19	1.753	20
64.26	1.449	13
79.47	1.206	16

=====

2.
The following is a theoretical X-ray powder pattern of Nd6SmY2Th. It was derived from a PBE-relaxed structure, using Cu Kα (weighted mean of Kα1 and Kα2).
Intensities are scaled so that the largest is 100.

Structure:
Cell: 8.9393 8.9393 9.6288 Å, 93.35 93.35 115.14°
Sites, in units of the cell vectors:
1 Nd 0.0106 0.5761 0.1892
2 Nd 0.1071 0.7635 0.5624
3 Nd 0.2365 0.8929 0.9376
4 Nd 0.2975 0.5213 0.3841
5 Nd 0.4239 0.9894 0.3108
6 Nd 0.4787 0.7025 0.1159
7 Nd 0.5213 0.2975 0.8841
8 Nd 0.5761 0.0106 0.6892
9 Nd 0.7025 0.4787 0.6159
10 Nd 0.7635 0.1071 0.0624
11 Nd 0.8929 0.2365 0.4376
12 Nd 0.9894 0.4239 0.8108
13 Sm 0.4071 0.5929 0.7500
14 Sm 0.5929 0.4071 0.2500
15 Y 0.2006 0.2902 0.0550
16 Y 0.2902 0.2006 0.5550
17 Y 0.7098 0.7994 0.4450
18 Y 0.7994 0.7098 0.9450
19 Th 0.0358 0.9642 0.2500
20 Th 0.9642 0.0358 0.7500

The 12 most intense peaks (2θ = 10–90°), low angle first:
2theta	d/Å	Rel. int.
27.60	3.232	19
28.07	3.179	56
29.24	3.054	61
30.20	2.959	21
30.29	2.951	70
30.42	2.939	65
31.06	2.880	100
32.21	2.779	37
33.73	2.657	26
34.20	2.622	28
52.73	1.736	18
59.24	1.560	27

=====

3.
The following is a theoretical X-ray powder pattern of Nd3SmTl4. It was derived from a PBE-relaxed structure, using Cu Kα (weighted mean of Kα1 and Kα2).
Intensities are scaled so that the largest is 100.

Structure:
Cell: 3.8959 3.8959 15.5856 Å, 90.00 90.00 90.00°
Sites, in units of the cell vectors:
1 Nd 0.0000 0.0000 0.0000
2 Nd 0.0000 0.0000 0.2519
3 Nd 0.0000 0.0000 0.7481
4 Sm 0.0000 0.0000 0.5000
5 Tl 0.5000 0.5000 0.1260
6 Tl 0.5000 0.5000 0.3784
7 Tl 0.5000 0.5000 0.6216
8 Tl 0.5000 0.5000 0.8740

The 10 most intense peaks (2θ = 10–90°), low angle first:
2theta	d/Å	Rel. int.
22.82	3.896	3
32.50	2.755	100
40.09	2.249	1
46.62	1.948	18
52.52	1.742	1
57.98	1.591	39
68.06	1.377	12
72.83	1.299	1
77.47	1.232	17
86.54	1.125	4